Theoretical XRD peak list
Compound: RbMn2OsO8
Radiation: λ = 1.5418 Å (Cu Kα)
Structure: the PBE+U geometry in Alexandria
No peak broadening, texture or thermal motion is included.

Cell and atoms:
```
RbMn2OsO8
1.0
4.287 -2.801 0.000
4.287 2.801 0.000
-0.703 0.000 8.271
Rb Mn Os O
1 2 1 8
Direct
0.000 0.000 0.000 Rb
0.374 0.374 0.697 Mn
0.626 0.626 0.303 Mn
0.000 0.000 0.500 Os
0.223 0.223 0.539 O
0.226 0.746 0.666 O
0.254 0.774 0.334 O
0.320 0.320 0.882 O
0.680 0.680 0.118 O
0.746 0.226 0.666 O
0.774 0.254 0.334 O
0.777 0.777 0.461 O
```

Principal peaks in the range 2θ = 5–70°, in order of rising 2θ:
8.271 Å, I = 100.0
4.684 Å, I = 58.9
4.272 Å, I = 56.1
4.160 Å, I = 51.5
4.135 Å, I = 20.6
3.671 Å, I = 30.4
3.174 Å, I = 90.9
3.031 Å, I = 53.6
2.801 Å, I = 35.2
2.539 Å, I = 50.1
2.319 Å, I = 17.0
1.926 Å, I = 18.3